Starting from a structure optimized by DFT (GGA-PBE), the X-ray diffraction stick pattern of Te6PtAu was calculated for CuKα.

Structural model:
```
data_Te6PtAu
_cell_length_a 6.5860
_cell_length_b 6.7199
_cell_length_c 6.7332
_cell_angle_alpha 119.10
_cell_angle_beta 90.15
_cell_angle_gamma 118.13
_symmetry_space_group_name_H-M 'P -1'
_symmetry_Int_Tables_number 2
loop_
_symmetry_equiv_pos_as_xyz
'x,y,z'
'-x,-y,-z'
loop_
_atom_site_label
_atom_site_type_symbol
_atom_site_fract_x
_atom_site_fract_y
_atom_site_fract_z
Te1 Te 0.0308 0.2911 0.0445
Te2 Te 0.2263 0.9793 0.5356
Te3 Te 0.4552 0.6985 0.7284
Pt1 Pt 0.0000 0.5000 0.5000
Au1 Au 0.5000 0.5000 0.0000
```

Principal peaks in the range 2θ = 15–90°, in order of rising 2θ:
2θ (°), I (rel.)
18.85, 68
27.09, 66
30.00, 65
31.39, 100
42.56, 62
43.36, 69